No. 1
Computed powder diffraction line list of Al6Ga2W for Cu Kα, 1.54184 Å, from a crystal structure in Alexandria, relaxed with GGA-PBE.
Neutral-atom scattering factors, no anomalous dispersion.

Peak list (10 most intense, 10° ≤ 2θ ≤ 80°, in order of rising 2θ)
| two_theta | intensity |
| --- | --- |
| 16.70 | 55 |
| 20.05 | 100 |
| 30.36 | 37 |
| 33.21 | 27 |
| 40.75 | 33 |
| 41.45 | 24 |
| 42.12 | 40 |
| 45.81 | 21 |
| 46.45 | 25 |
| 59.53 | 15 |

Structure:
```
data_Al6Ga2W
_symmetry_space_group_name_H-M 'P 42/m n m'
_symmetry_Int_Tables_number 136
_symmetry_space_group_name_Hall '-P 4n 2n'
_cell_length_a 6.2631
_cell_length_b 6.2631
_cell_length_c 10.0087
_cell_angle_alpha 90.00
_cell_angle_beta 90.00
_cell_angle_gamma 90.00
loop_
_atom_site_label
_atom_site_fract_x
_atom_site_fract_y
_atom_site_fract_z
Al1 0.2084 0.2084 0.0000
Al2 0.2426 0.2426 0.3695
Ga1 0.0000 0.0000 0.2210
W1 0.0000 0.0000 0.5000
```

=====

No. 2
Computed powder diffraction line list of AgGeAu2O6 for Cu Kα, 1.54184 Å, from a crystal structure in Alexandria, relaxed with GGA-PBE.
Neutral-atom scattering factors, no anomalous dispersion.

Peak list (10 most intense, 10° ≤ 2θ ≤ 80°, in order of rising 2θ)
| two_theta | intensity |
| --- | --- |
| 17.98 | 28 |
| 25.98 | 22 |
| 27.83 | 44 |
| 29.84 | 100 |
| 30.34 | 37 |
| 33.61 | 71 |
| 36.42 | 31 |
| 42.53 | 31 |
| 45.68 | 25 |
| 57.47 | 22 |

Structure:
```
data_AgGeAu2O6
_symmetry_space_group_name_H-M 'C 1 2/c 1'
_symmetry_Int_Tables_number 15
_cell_length_a 10.0955
_cell_length_b 8.4374
_cell_length_c 6.0277
_cell_angle_alpha 90.00
_cell_angle_beta 102.22
_cell_angle_gamma 90.00
loop_
_symmetry_equiv_pos_as_xyz
'x,y,z'
'-x,-y,-z'
'-x,y,-z+1/2'
'x,-y,z+1/2'
'x+1/2,y+1/2,z'
'-x+1/2,-y+1/2,-z'
'-x+1/2,y+1/2,-z+1/2'
'x+1/2,-y+1/2,z+1/2'
loop_
_atom_site_label
_atom_site_fract_x
_atom_site_fract_y
_atom_site_fract_z
Ag1 0.0000 0.1542 0.2500
Ge1 0.0000 0.2898 0.7500
Au1 0.2405 0.4134 0.1874
O1 0.1131 0.1592 0.9718
O2 0.1139 0.4786 0.8836
O3 0.1322 0.2199 0.5717
```

=====

No. 3
Computed powder diffraction line list of BiTeIr for Cu Kα, 1.54184 Å, from a crystal structure in Alexandria, relaxed with GGA-PBE.
Neutral-atom scattering factors, no anomalous dispersion.

Peak list (10 most intense, 10° ≤ 2θ ≤ 80°, in order of rising 2θ)
| two_theta | intensity |
| --- | --- |
| 21.07 | 43 |
| 26.87 | 61 |
| 30.15 | 93 |
| 31.66 | 71 |
| 38.49 | 26 |
| 41.74 | 100 |
| 43.43 | 41 |
| 46.73 | 50 |
| 54.74 | 31 |
| 66.14 | 20 |

Structure:
```
data_BiTeIr
_symmetry_space_group_name_H-M 'P 1 21/c 1'
_symmetry_Int_Tables_number 14
_cell_length_a 6.8889
_cell_length_b 6.5937
_cell_length_c 6.8888
_cell_angle_alpha 90.00
_cell_angle_beta 105.56
_cell_angle_gamma 90.00
loop_
_symmetry_equiv_pos_as_xyz
'x,y,z'
'-x,-y,-z'
'-x,y+1/2,-z+1/2'
'x,-y+1/2,z+1/2'
loop_
_atom_site_label
_atom_site_fract_x
_atom_site_fract_y
_atom_site_fract_z
Bi1 0.1372 0.1382 0.3631
Te1 0.3591 0.6300 0.6399
Ir1 0.2595 0.5072 0.2533
```

=====

No. 4
Computed powder diffraction line list of MnCr3 for Cu Kα, 1.54184 Å, from a crystal structure in Alexandria, relaxed with GGA-PBE.
Neutral-atom scattering factors, no anomalous dispersion.

Peak list (4 most intense, 10° ≤ 2θ ≤ 80°, in order of rising 2θ)
| two_theta | intensity |
| --- | --- |
| 45.02 | 25 |
| 45.15 | 100 |
| 45.30 | 25 |
| 65.76 | 21 |

Structure:
```
data_MnCr3
_symmetry_space_group_name_H-M 'C m m m'
_symmetry_Int_Tables_number 65
_symmetry_space_group_name_Hall '-C 2 2'
_cell_length_a 2.8411
_cell_length_b 4.0270
_cell_length_c 8.0081
_cell_angle_alpha 90.00
_cell_angle_beta 90.00
_cell_angle_gamma 90.00
loop_
_atom_site_label
_atom_site_fract_x
_atom_site_fract_y
_atom_site_fract_z
Mn1 0.0000 0.0000 0.0000
Cr1 0.0000 0.0000 0.5000
Cr2 0.0000 0.5000 0.2486
```